Simulated XRD peak list
Compound: Ca2Mo2O5
Radiation: Cu Kα
Structure: a crystal structure in the Materials Project, relaxed with PBE+U
Peak positions follow from Bragg's law for the DFT cell and can differ from measured ones.

Top 6 peaks for 2θ = 10–90°, by intensity:
| (hkl) | 2theta | I/Imax |
| --- | --- | --- |
| 1 2 1 | 32.2 | 100 |
| 1 2 0 | 22.8 | 50 |
| 2 3 0 | 40.9 | 41 |
| 1 1 1 | 28.9 | 40 |
| 0 0 2 | 45.8 | 36 |
| 0 4 0 | 32.6 | 35 |

Structural model:
Lattice parameters (Å, degrees): 5.532 10.981 3.964 90.00 90.00 90.00
Fractional coordinates of all 18 atoms:
1 Ca 0.148 0.149 0.000
2 Ca 0.352 0.649 0.000
3 Ca 0.648 0.351 0.000
4 Ca 0.852 0.851 0.000
5 Mo 0.164 0.403 0.500
6 Mo 0.336 0.903 0.500
7 Mo 0.664 0.097 0.500
8 Mo 0.836 0.597 0.500
9 O 0.000 0.000 0.500
10 O 0.116 0.710 0.500
11 O 0.219 0.385 0.000
12 O 0.281 0.885 0.000
13 O 0.384 0.210 0.500
14 O 0.500 0.500 0.500
15 O 0.616 0.790 0.500
16 O 0.719 0.115 0.000
17 O 0.781 0.615 0.000
18 O 0.884 0.290 0.500